No. 1
Theoretical powder diffractogram of Sc4Co4Ge7 for Cu Kα (λ = 1.5418 Å), from the GGA-PBE geometry in the Materials Project.
Intensities are scaled so that the largest is 100.

Most intense lines, 2θ from 10° to 90°, in order of falling intensity:
2θ 38.05, I = 100.0
2θ 40.66, I = 55.1
2θ 40.83, I = 26.8
2θ 52.56, I = 23.3
2θ 46.30, I = 22.8
2θ 45.21, I = 22.7
2θ 63.91, I = 20.4
2θ 44.11, I = 19.1

Structure:
Unit cell a=9.734 b=9.734 c=9.734 alpha=94.14 beta=94.14 gamma=148.84
Positions (direct):
Sc 0.000 0.196 0.196
Sc 0.000 0.804 0.804
Sc 0.196 0.000 0.196
Sc 0.360 0.360 0.721
Sc 0.360 0.640 0.000
Sc 0.640 0.360 0.000
Sc 0.640 0.640 0.279
Sc 0.804 0.000 0.804
Co 0.102 0.602 0.204
Co 0.102 0.898 0.500
Co 0.398 0.602 0.500
Co 0.398 0.898 0.796
Co 0.602 0.102 0.204
Co 0.602 0.398 0.500
Co 0.898 0.102 0.500
Co 0.898 0.398 0.796
Ge 0.000 0.406 0.406
Ge 0.000 0.594 0.594
Ge 0.207 0.207 0.414
Ge 0.207 0.793 0.000
Ge 0.209 0.500 0.709
Ge 0.248 0.248 0.000
Ge 0.406 0.000 0.406
Ge 0.500 0.209 0.709
Ge 0.500 0.791 0.291
Ge 0.594 0.000 0.594
Ge 0.752 0.752 0.000
Ge 0.791 0.500 0.291
Ge 0.793 0.207 0.000
Ge 0.793 0.793 0.586

---

No. 2
Theoretical powder diffractogram of H for Cu Kα (λ = 1.5418 Å), from the GGA-PBE geometry in the Materials Project.
Intensities are scaled so that the largest is 100.

Most intense lines, 2θ from 10° to 90°, in order of falling intensity:
2θ 35.92, I = 100.0
2θ 34.85, I = 95.5
2θ 50.11, I = 15.3
2θ 63.18, I = 8.9
2θ 73.58, I = 1.4
2θ 84.07, I = 1.3
2θ 84.69, I = 0.7

Structure:
Unit cell a=3.096 b=3.096 c=3.096 alpha=107.97 beta=107.97 gamma=112.52
Positions (direct):
H 0.109 0.109 0.000
H 0.891 0.891 0.000

---

No. 3
Theoretical powder diffractogram of K2RbCeI6 for Cu Kα (λ = 1.5418 Å), from the GGA-PBE geometry in the Materials Project.
Intensities are scaled so that the largest is 100.

Most intense lines, 2θ from 10° to 90°, in order of falling intensity:
2θ 27.06, I = 100.0
2θ 38.65, I = 74.0
2θ 13.44, I = 73.4
2θ 23.38, I = 63.4
2θ 30.33, I = 39.8
2θ 63.10, I = 31.5
2θ 45.66, I = 27.5
2θ 47.82, I = 25.8

Structure:
Unit cell a=9.319 b=9.319 c=9.319 alpha=60.00 beta=60.00 gamma=60.00
Positions (direct):
K 0.250 0.250 0.250
K 0.750 0.750 0.750
Rb 0.000 0.000 0.000
Ce 0.500 0.500 0.500
I 0.263 0.263 0.737
I 0.263 0.737 0.263
I 0.263 0.737 0.737
I 0.737 0.263 0.263
I 0.737 0.263 0.737
I 0.737 0.737 0.263

---

No. 4
Theoretical powder diffractogram of Cd3H8S3O12 for Cu Kα (λ = 1.5418 Å), from the GGA-PBE geometry in the Materials Project.
Intensities are scaled so that the largest is 100.

Most intense lines, 2θ from 10° to 90°, in order of falling intensity:
2θ 13.72, I = 100.0
2θ 12.40, I = 97.7
2θ 13.96, I = 70.8
2θ 23.43, I = 41.6
2θ 28.60, I = 40.8
2θ 23.73, I = 39.2
2θ 20.59, I = 34.8
2θ 19.78, I = 34.6

Structure:
Unit cell a=9.661 b=9.661 c=9.747 alpha=96.58 beta=96.58 gamma=82.06
Positions (direct):
Cd 0.035 0.965 0.750
Cd 0.248 0.463 0.468
Cd 0.463 0.248 0.968
Cd 0.537 0.752 0.032
Cd 0.752 0.537 0.532
Cd 0.965 0.035 0.250
H 0.091 0.740 0.802
H 0.131 0.655 0.093
H 0.190 0.395 0.908
H 0.192 0.377 0.294
H 0.260 0.909 0.698
H 0.345 0.869 0.407
H 0.377 0.192 0.794
H 0.395 0.190 0.408
H 0.605 0.810 0.592
H 0.623 0.808 0.206
H 0.655 0.131 0.593
H 0.740 0.091 0.302
H 0.808 0.623 0.706
H 0.810 0.605 0.092
H 0.869 0.345 0.907
H 0.909 0.260 0.198
S 0.011 0.250 0.546
S 0.250 0.011 0.046
S 0.499 0.501 0.750
S 0.501 0.499 0.250
S 0.750 0.989 0.954
S 0.989 0.750 0.454
O 0.008 0.184 0.675
O 0.064 0.142 0.435
O 0.113 0.356 0.579
O 0.131 0.683 0.504
O 0.142 0.064 0.935
O 0.184 0.008 0.175
O 0.317 0.869 0.996
O 0.353 0.486 0.690
O 0.356 0.113 0.079
O 0.407 0.543 0.364
O 0.457 0.593 0.136
O 0.486 0.353 0.190
O 0.514 0.647 0.810
O 0.543 0.407 0.864
O 0.593 0.457 0.636
O 0.644 0.887 0.921
O 0.647 0.514 0.310
O 0.683 0.131 0.004
O 0.816 0.992 0.825
O 0.858 0.936 0.065
O 0.869 0.317 0.496
O 0.887 0.644 0.421
O 0.936 0.858 0.565
O 0.992 0.816 0.325